Diffraction record for Li2B4O7. The XRD peak list is simulated, not measured: it uses the PBE geometry in the Materials Project and Cu Kα X-rays.
Intensities are scaled so that the largest is 100.

Main lines, sorted by position (2θ from 10° to 90°):
index, 2θ/deg, I (rel.)
1 1 2, 19.24, 100.0
2 1 1, 20.25, 7.8
2 2 0, 23.81, 5.7
2 1 3, 29.65, 4.8
0 0 4, 30.48, 19.1
3 1 2, 30.79, 20.5
4 1 1, 35.85, 6.6
3 3 2, 39.29, 9.2
4 2 4, 49.53, 13.1
5 3 2, 52.88, 4.8

Structural model:
```
data_Li2B4O7
_chemical_formula_sum 'Li16 B32 O56'
_symmetry_space_group_name_H-M 'I 41 c d'
_symmetry_Int_Tables_number 110
_symmetry_space_group_name_Hall 'I 4bw -2c'
_cell_length_a 10.5701
_cell_length_b 10.5701
_cell_length_c 11.7306
_cell_angle_alpha 90.00
_cell_angle_beta 90.00
_cell_angle_gamma 90.00
loop_
_atom_site_label
_atom_site_fract_x
_atom_site_fract_y
_atom_site_fract_z
Li1 0.1794 0.1840 0.0000
B1 0.0582 0.0715 0.1594
B2 0.1232 0.3535 0.8534
O1 0.0000 0.0000 0.2458
O2 0.0141 0.1641 0.6078
O3 0.0164 0.3397 0.3548
O4 0.1981 0.2564 0.8489
```